Calculated X-ray diffraction stick pattern of Li2AlHgF6 for Cu Kα (λ = 1.5418 Å), from a cell relaxed with GGA-PBE.

Structure:
Lattice parameters (Å, degrees): 8.582 8.582 8.582 90.00 90.00 90.00
Space group Fm-3m (No. 225)
Asymmetric unit:
Li1 0.250 0.250 0.250 (multiplicity 8)
Al1 0.000 0.000 0.000 (multiplicity 4)
Hg1 0.000 0.000 0.500 (multiplicity 4)
F1 0.000 0.000 0.213 (multiplicity 24)

The 10 most intense peaks (2θ from 10° to 90°), most intense first:
2θ/deg	I/Imax	h k l
20.70	100	2 0 0
34.67	52	3 1 1
29.44	52	2 2 0
17.90	52	1 1 1
47.37	39	4 2 0
46.10	33	3 3 1
42.12	26	4 0 0
52.22	19	4 2 2
65.23	18	6 0 0
61.08	15	4 4 0